# 1
Calculated PXRD pattern of MnH10SeO9 for Cu Ka, from a DFT-relaxed cell (PBE+U, the Materials Project).
Neutral-atom scattering factors, no anomalous dispersion.

Main lines, by intensity (15 to 90 degrees two-theta):
- d = 5.077 Å, 2θ 17.47, rel. 100.0
- d = 3.861 Å, 2θ 23.03, rel. 46.7
- d = 3.377 Å, 2θ 26.39, rel. 34.9
- d = 3.168 Å, 2θ 28.16, rel. 32.3
- d = 5.362 Å, 2θ 16.53, rel. 32.1
- d = 2.806 Å, 2θ 31.89, rel. 28.3
- d = 2.820 Å, 2θ 31.73, rel. 26.3
- d = 3.019 Å, 2θ 29.59, rel. 22.0

Structure:
abc: 6.332 6.450 11.125
angles: 75.39 81.64 70.45
Fractional coordinates of all 42 atoms:
1 Mn 0.000 0.000 0.000
2 Mn 0.000 0.500 0.500
3 H 0.097 0.314 0.101
4 H 0.117 0.153 0.707
5 H 0.171 0.632 0.876
6 H 0.240 0.784 0.511
7 H 0.263 0.606 0.643
8 H 0.280 0.931 0.305
9 H 0.303 0.106 0.374
10 H 0.350 0.145 0.629
11 H 0.360 0.176 0.870
12 H 0.446 0.904 0.890
13 H 0.554 0.096 0.110
14 H 0.640 0.824 0.130
15 H 0.650 0.855 0.371
16 H 0.697 0.894 0.626
17 H 0.720 0.069 0.695
18 H 0.737 0.394 0.357
19 H 0.760 0.216 0.489
20 H 0.829 0.368 0.124
21 H 0.883 0.847 0.293
22 H 0.903 0.686 0.899
23 Se 0.352 0.518 0.212
24 Se 0.648 0.482 0.788
25 O 0.032 0.733 0.910
26 O 0.167 0.683 0.572
27 O 0.171 0.780 0.175
28 O 0.185 0.184 0.622
29 O 0.284 0.399 0.359
30 O 0.315 0.038 0.900
31 O 0.346 0.357 0.117
32 O 0.350 0.942 0.375
33 O 0.389 0.460 0.794
34 O 0.611 0.540 0.206
35 O 0.650 0.058 0.625
36 O 0.654 0.643 0.883
37 O 0.685 0.962 0.100
38 O 0.716 0.601 0.641
39 O 0.815 0.816 0.378
40 O 0.829 0.220 0.825
41 O 0.833 0.317 0.428
42 O 0.968 0.267 0.090

***

# 2
Calculated PXRD pattern of Mn3H2Se3O10 for Cu Ka, from a DFT-relaxed cell (PBE+U, the Materials Project).
Neutral-atom scattering factors, no anomalous dispersion.

Main lines, by intensity (15 to 90 degrees two-theta):
- d = 3.010 Å, 2θ 29.68, rel. 100.0
- d = 3.318 Å, 2θ 26.87, rel. 59.5
- d = 2.990 Å, 2θ 29.88, rel. 58.0
- d = 4.183 Å, 2θ 21.24, rel. 32.9
- d = 3.987 Å, 2θ 22.30, rel. 26.0
- d = 2.836 Å, 2θ 31.55, rel. 24.7
- d = 3.492 Å, 2θ 25.51, rel. 23.5
- d = 4.464 Å, 2θ 19.89, rel. 21.7

Structure:
abc: 8.462 8.463 9.129
angles: 65.63 68.89 68.02
Fractional coordinates of all 36 atoms:
1 Mn 0.000 0.000 0.000
2 Mn 0.036 0.657 0.799
3 Mn 0.172 0.303 0.578
4 Mn 0.500 0.500 0.500
5 Mn 0.828 0.697 0.422
6 Mn 0.964 0.343 0.201
7 H 0.126 0.969 0.302
8 H 0.190 0.047 0.398
9 H 0.810 0.953 0.602
10 H 0.874 0.031 0.698
11 Se 0.208 0.575 0.220
12 Se 0.330 0.837 0.689
13 Se 0.335 0.219 0.899
14 Se 0.665 0.781 0.101
15 Se 0.670 0.163 0.311
16 Se 0.792 0.425 0.780
17 O 0.056 0.445 0.335
18 O 0.063 0.777 0.241
19 O 0.145 0.077 0.300
20 O 0.146 0.818 0.857
21 O 0.156 0.387 0.960
22 O 0.250 0.047 0.946
23 O 0.266 0.047 0.549
24 O 0.294 0.700 0.612
25 O 0.319 0.494 0.372
26 O 0.359 0.306 0.684
27 O 0.641 0.694 0.316
28 O 0.681 0.506 0.628
29 O 0.706 0.300 0.388
30 O 0.734 0.953 0.451
31 O 0.750 0.953 0.054
32 O 0.844 0.613 0.040
33 O 0.854 0.182 0.143
34 O 0.855 0.923 0.700
35 O 0.937 0.223 0.759
36 O 0.944 0.555 0.665

***

# 3
Calculated PXRD pattern of MnHSeO4 for Cu Ka, from a DFT-relaxed cell (PBE+U, the Materials Project).
Neutral-atom scattering factors, no anomalous dispersion.

Main lines, by intensity (15 to 90 degrees two-theta):
- d = 4.815 Å, 2θ 18.42, rel. 100.0
- d = 3.155 Å, 2θ 28.29, rel. 65.1
- d = 3.455 Å, 2θ 25.79, rel. 54.0
- d = 3.258 Å, 2θ 27.38, rel. 39.6
- d = 2.586 Å, 2θ 34.69, rel. 35.9
- d = 3.494 Å, 2θ 25.49, rel. 30.4
- d = 2.503 Å, 2θ 35.87, rel. 29.0
- d = 2.717 Å, 2θ 32.97, rel. 21.8

Structure:
abc: 5.535 5.535 6.818
angles: 105.41 105.41 99.55
Fractional coordinates of all 14 atoms:
1 Mn 0.000 0.000 0.000
2 Mn 0.000 0.000 0.500
3 H 0.062 0.938 0.750
4 H 0.938 0.062 0.250
5 Se 0.331 0.669 0.250
6 Se 0.669 0.331 0.750
7 O 0.114 0.685 0.384
8 O 0.254 0.371 0.077
9 O 0.315 0.886 0.116
10 O 0.371 0.254 0.577
11 O 0.629 0.746 0.423
12 O 0.685 0.114 0.884
13 O 0.746 0.629 0.923
14 O 0.886 0.315 0.616

***

# 4
Calculated PXRD pattern of MnH2Se2O8 for Cu Ka, from a DFT-relaxed cell (PBE+U, the Materials Project).
Neutral-atom scattering factors, no anomalous dispersion.

Main lines, by intensity (15 to 90 degrees two-theta):
- d = 4.152 Å, 2θ 21.40, rel. 100.0
- d = 3.335 Å, 2θ 26.73, rel. 98.0
- d = 3.528 Å, 2θ 25.24, rel. 90.5
- d = 3.141 Å, 2θ 28.42, rel. 83.7
- d = 4.661 Å, 2θ 19.04, rel. 80.2
- d = 3.006 Å, 2θ 29.72, rel. 59.4
- d = 4.296 Å, 2θ 20.67, rel. 51.2
- d = 2.841 Å, 2θ 31.48, rel. 37.0

Structure:
abc: 7.012 10.719 10.026
angles: 90.00 110.41 90.00
Fractional coordinates of all 52 atoms:
1 Mn 0.130 0.029 0.301
2 Mn 0.130 0.471 0.801
3 Mn 0.870 0.529 0.199
4 Mn 0.870 0.971 0.699
5 H 0.308 0.044 0.902
6 H 0.308 0.456 0.402
7 H 0.322 0.719 0.713
8 H 0.322 0.781 0.213
9 H 0.678 0.219 0.787
10 H 0.678 0.281 0.287
11 H 0.692 0.544 0.598
12 H 0.692 0.956 0.098
13 Se 0.128 0.182 0.985
14 Se 0.128 0.318 0.485
15 Se 0.344 0.580 0.148
16 Se 0.344 0.920 0.648
17 Se 0.656 0.080 0.352
18 Se 0.656 0.420 0.852
19 Se 0.872 0.682 0.515
20 Se 0.872 0.818 0.015
21 O 0.072 0.634 0.655
22 O 0.072 0.866 0.155
23 O 0.089 0.168 0.137
24 O 0.089 0.332 0.637
25 O 0.200 0.602 0.980
26 O 0.200 0.898 0.480
27 O 0.201 0.176 0.462
28 O 0.201 0.324 0.962
29 O 0.204 0.526 0.242
30 O 0.204 0.974 0.742
31 O 0.330 0.080 0.999
32 O 0.330 0.420 0.499
33 O 0.440 0.726 0.219
34 O 0.440 0.774 0.719
35 O 0.450 0.505 0.823
36 O 0.450 0.995 0.323
37 O 0.550 0.005 0.677
38 O 0.550 0.495 0.177
39 O 0.560 0.226 0.281
40 O 0.560 0.274 0.781
41 O 0.670 0.580 0.501
42 O 0.670 0.920 0.001
43 O 0.796 0.026 0.258
44 O 0.796 0.474 0.758
45 O 0.799 0.676 0.038
46 O 0.799 0.824 0.538
47 O 0.800 0.102 0.520
48 O 0.800 0.398 0.020
49 O 0.911 0.668 0.363
50 O 0.911 0.832 0.863
51 O 0.928 0.134 0.845
52 O 0.928 0.366 0.345